For KZnPbBr5, a DFT-relaxed cell (PBE, Alexandria) gives the calculated X-ray diffraction stick pattern in this record (CuKα).

Structure:
```
KZnPbBr5
1.0
4.857 -6.379 0.000
4.857 6.379 0.000
-4.389 0.000 9.742
K Zn Pb Br
2 2 2 10
Cartesian
1.565 4.503 7.307 K
3.760 -4.503 2.436 K
3.760 4.046 2.436 Zn
1.565 -4.046 7.307 Zn
4.857 0.000 0.000 Pb
2.663 0.000 4.871 Pb
-2.456 0.855 9.091 Br
2.025 2.715 3.525 Br
-0.261 -0.855 4.220 Br
1.565 1.273 7.307 Br
5.495 2.715 1.346 Br
-0.170 -2.715 8.396 Br
3.760 -1.273 2.436 Br
5.586 0.855 5.522 Br
3.301 -2.715 6.217 Br
7.781 -0.855 0.651 Br
```

Top 10 peaks for 5 to 70 degrees two-theta, sorted by position:
- 2θ = 12.16°, I 72
- 2θ = 18.18°, I 80
- 2θ = 20.05°, I 41
- 2θ = 22.99°, I 100
- 2θ = 26.46°, I 51
- 2θ = 29.06°, I 36
- 2θ = 31.09°, I 34
- 2θ = 35.14°, I 40
- 2θ = 35.43°, I 37
- 2θ = 42.41°, I 42